Entry 1:
NbRu3Rh: computed PXRD pattern (Cu Kα X-rays), based on a GGA-PBE-relaxed structure.

Peak list (12 most intense, 2θ from 5° to 70°, sorted by position)
(1 0 1), 20.70°, intensity 32; (0 0 3), 21.58°, intensity 68; (0 1 2), 24.21°, intensity 17; (1 1 0), 33.94°, intensity 7; (1 0 4), 35.05°, intensity 6; (0 2 1), 40.09°, intensity 40; (1 1 3), 40.57°, intensity 11; (2 0 2), 42.12°, intensity 100; (0 0 6), 43.97°, intensity 29; (0 2 4), 49.59°, intensity 62; (2 0 5), 54.68°, intensity 16; (0 2 7), 66.96°, intensity 8

Atomic structure:
Lattice parameters (Å, degrees): 5.2831 5.2831 12.3553 90.00 90.00 120.00
Space group R-3m (No. 166, hexagonal axes)
One atom of each set of equivalent atoms:
1 Nb 0.0000 0.0000 0.0000 [3 per cell]
2 Ru 0.0000 0.5000 0.0000 [9 per cell]
3 Rh 0.0000 0.0000 0.5000 [3 per cell]

---

Entry 2:
Nb4Ru4Rh: computed PXRD pattern (Cu Kα X-rays), based on a GGA-PBE-relaxed structure.

Peak list (11 most intense, 2θ from 5° to 70°, sorted by position)
(1 1 0), 14.71°, intensity 4; (2 2 0), 29.67°, intensity 1; (3 0 1), 39.07°, intensity 100; (3 2 1), 44.70°, intensity 1; (3 3 0), 45.16°, intensity 32; (0 0 2), 45.95°, intensity 16; (4 1 1), 49.81°, intensity 3; (4 4 0), 61.60°, intensity 1; (5 2 1), 63.34°, intensity 1; (6 0 0), 65.79°, intensity 9; (3 3 2), 66.40°, intensity 19

Atomic structure:
Lattice parameters (Å, degrees): 8.5173 8.5173 3.9499 90.00 90.00 90.00
Space group I4/mmm (No. 139)
One atom of each set of equivalent atoms:
1 Nb 0.0000 0.3111 0.0000 [8 per cell]
2 Ru 0.1646 0.1646 0.5000 [8 per cell]
3 Rh 0.0000 0.0000 0.0000 [2 per cell]

---

Entry 3:
Nb11Ru4Rh9: computed PXRD pattern (Cu Kα X-rays), based on a GGA-PBE-relaxed structure.

Peak list (12 most intense, 2θ from 5° to 70°, sorted by position)
(2 4 1), 37.43°, intensity 19; (1 5 1), 37.65°, intensity 27; (5 3 0), 38.30°, intensity 15; (4 6 0), 38.96°, intensity 93; (3 3 1), 39.13°, intensity 31; (0 6 1), 39.78°, intensity 100; (1 9 0), 40.05°, intensity 26; (4 0 1), 41.60°, intensity 87; (5 5 0), 42.27°, intensity 19; (3 5 1), 43.04°, intensity 11; (0 0 2), 61.48°, intensity 23; (5 9 1), 63.10°, intensity 12

Atomic structure:
Lattice parameters (Å, degrees): 12.5067 20.5984 3.0163 90.00 90.00 90.00
Space group Cmmm (No. 65)
One atom of each set of equivalent atoms:
1 Nb 0.0000 0.0000 0.0000 [2 per cell]
2 Nb 0.0000 0.1728 0.0000 [4 per cell]
3 Nb 0.0000 0.3693 0.0000 [4 per cell]
4 Nb 0.2167 0.5000 0.0000 [4 per cell]
5 Nb 0.2182 0.1750 0.0000 [8 per cell]
6 Ru 0.1607 0.4027 0.5000 [8 per cell]
7 Rh 0.0000 0.5000 0.5000 [2 per cell]
8 Rh 0.1129 0.2685 0.5000 [8 per cell]
9 Rh 0.1200 0.0753 0.5000 [8 per cell]

---

Entry 4:
Nb4RuRh5: computed PXRD pattern (Cu Kα X-rays), based on a GGA-PBE-relaxed structure.

Peak list (11 most intense, 2θ from 5° to 70°, sorted by position)
(1 2 2), 39.16°, intensity 100; (0 2 -1), 39.45°, intensity 99; (1 -1 2), 40.26°, intensity 1; (-1 1 2), 42.31°, intensity 1; (2 0 2), 44.23°, intensity 1; (-1 2 1), 44.49°, intensity 34; (1 0 3), 45.01°, intensity 33; (2 2 0), 47.55°, intensity 29; (0 2 4), 65.14°, intensity 20; (1 4 1), 67.15°, intensity 28; (1 2 -3), 67.95°, intensity 9

Atomic structure:
Lattice parameters (Å, degrees): 4.7936 5.5889 6.3773 76.12 74.31 76.13
Space group P-1 (No. 2)
One atom of each set of equivalent atoms:
1 Nb 0.1320 0.3821 0.3079 [2 per cell]
2 Nb 0.3101 0.1918 0.8754 [2 per cell]
3 Ru 0.5000 0.5000 0.5000 [1 per cell]
4 Rh 0.1023 0.9037 0.2956 [2 per cell]
5 Rh 0.2841 0.6908 0.9053 [2 per cell]
6 Rh 0.5000 0.0000 0.5000 [1 per cell]

---

Entry 5:
Nb6RuRh3: computed PXRD pattern (Cu Kα X-rays), based on a GGA-PBE-relaxed structure.

Peak list (12 most intense, 2θ from 5° to 70°, sorted by position)
(1 1 1), 26.36°, intensity 34; (3 1 -1), 26.59°, intensity 33; (2 0 1), 29.70°, intensity 35; (4 0 -1), 30.00°, intensity 32; (2 2 -1), 32.73°, intensity 72; (2 2 0), 33.22°, intensity 22; (2 2 -2), 40.21°, intensity 100; (2 0 2), 45.44°, intensity 30; (4 2 0), 45.64°, intensity 90; (6 0 -2), 45.99°, intensity 32; (1 1 -3), 48.66°, intensity 28; (0 4 0), 58.04°, intensity 24

Atomic structure:
Lattice parameters (Å, degrees): 11.9334 6.3565 6.3314 90.00 121.37 90.00
Space group C2/m (No. 12)
One atom of each set of equivalent atoms:
1 Nb 0.1059 0.2495 0.3514 [8 per cell]
2 Nb 0.2477 0.0000 0.1369 [4 per cell]
3 Ru 0.0000 0.0000 0.0000 [2 per cell]
4 Rh 0.0000 0.5000 0.5000 [2 per cell]
5 Rh 0.2481 0.0000 0.7334 [4 per cell]

---

Entry 6:
NbRuRh6: computed PXRD pattern (Cu Kα X-rays), based on a GGA-PBE-relaxed structure.

Peak list (3 most intense, 2θ from 5° to 70°, sorted by position)
(2 0 1), 40.33°, intensity 100; (0 0 2), 46.91°, intensity 48; (2 2 2), 68.51°, intensity 30

Atomic structure:
Lattice parameters (Å, degrees): 5.4750 5.4750 3.8788 90.00 90.00 90.00
Space group P4/mmm (No. 123)
One atom of each set of equivalent atoms:
1 Nb 0.0000 0.0000 0.0000 [1 per cell]
2 Ru 0.5000 0.5000 0.0000 [1 per cell]
3 Rh 0.0000 0.5000 0.0000 [2 per cell]
4 Rh 0.2536 0.2536 0.5000 [4 per cell]

---

Entry 7:
NbRh2S: computed PXRD pattern (Cu Kα X-rays), based on a GGA-PBE-relaxed structure.

Peak list (12 most intense, 2θ from 5° to 70°, sorted by position)
(1 1 2), 28.23°, intensity 100; (1 0 3), 29.27°, intensity 7; (2 0 0), 32.86°, intensity 3; (2 1 1), 37.79°, intensity 11; (2 0 4), 46.84°, intensity 44; (2 2 0), 47.16°, intensity 20; (3 0 1), 50.93°, intensity 4; (1 1 6), 55.30°, intensity 14; (3 1 2), 55.88°, intensity 24; (3 2 3), 66.91°, intensity 4; (0 0 8), 67.89°, intensity 4; (4 0 0), 68.90°, intensity 6

Atomic structure:
Lattice parameters (Å, degrees): 5.4509 5.4509 11.0450 90.00 90.00 90.00
Space group I-42d (No. 122)
One atom of each set of equivalent atoms:
1 Nb 0.0000 0.0000 0.0000 [4 per cell]
2 Rh 0.2134 0.2500 0.6250 [8 per cell]
3 S 0.0000 0.0000 0.5000 [4 per cell]

---

Entry 8:
Sc2NbRh5: computed PXRD pattern (Cu Kα X-rays), based on a GGA-PBE-relaxed structure.

Peak list (12 most intense, 2θ from 5° to 70°, sorted by position)
(0 0 1), 20.63°, intensity 8; (1 2 1), 31.16°, intensity 15; (2 0 1), 38.52°, intensity 38; (2 1 1), 39.47°, intensity 66; (0 4 1), 39.75°, intensity 100; (2 3 0), 41.18°, intensity 31; (0 0 2), 41.97°, intensity 49; (2 2 1), 42.21°, intensity 12; (2 4 0), 47.19°, intensity 19; (2 5 0), 54.15°, intensity 10; (2 3 2), 60.26°, intensity 20; (2 4 2), 64.97°, intensity 15

Atomic structure:
Lattice parameters (Å, degrees): 5.5668 10.6718 4.3049 90.00 90.00 90.00
Space group Pbam (No. 55)
One atom of each set of equivalent atoms:
1 Sc 0.1514 0.1436 0.0000 [4 per cell]
2 Nb 0.0000 0.5000 0.5000 [2 per cell]
3 Rh 0.0000 0.0000 0.5000 [2 per cell]
4 Rh 0.1086 0.7371 0.5000 [4 per cell]
5 Rh 0.1738 0.3944 0.0000 [4 per cell]